This entry pairs a crystal structure of MnBi2SbO6 with its computed X-ray powder pattern. Radiation: Cu Kα (λ = 1.5418 Å). Structure: a structure optimized by DFT (GGA+U).

Largest 6 diffraction maxima, sorted by position, 2θ from 15° to 90°:
d [Å]  Position (°2θ)  I (rel.)
4.186  21.22  26
2.960  30.19  100
2.093  43.22  22
1.872  48.64  22
1.709  53.62  44
1.119  87.08  17

Cell and atoms:
abc: 5.918 5.918 5.918
angles: 60.05 60.05 60.05
Sites, in units of the cell vectors:
Mn 0.000 0.000 0.000
Bi 0.277 0.277 0.277
Bi 0.779 0.779 0.779
Sb 0.495 0.495 0.495
O 0.155 0.688 0.341
O 0.189 0.642 0.844
O 0.341 0.155 0.688
O 0.642 0.844 0.189
O 0.688 0.341 0.155
O 0.844 0.189 0.642